Simulated X-ray diffraction stick pattern of Ho2Er7Pu for Cu Kα X-rays, from a structure optimized by DFT (GGA-PBE).

Largest 6 diffraction maxima, by angle, 2θ = 15–90°:
2θ/deg  d/Å  I_rel
31.3  2.855  100
36.3  2.477  17
36.4  2.471  34
52.3  1.749  30
62.2  1.493  11
62.3  1.490  21

Structural model:
abc: 8.5630 3.4912 10.5146
angles: 90.00 105.82 90.00
Space group P2/m (No. 10)
Unique sites:
Ho: 0.2041 0.0000 0.0992 [2 per cell]
Er: 0.0000 0.0000 0.5000 [1 per cell]
Er: 0.0991 0.5000 0.8002 [2 per cell]
Er: 0.2997 0.5000 0.4018 [2 per cell]
Er: 0.3998 0.0000 0.7034 [2 per cell]
Pu: 0.5000 0.5000 0.0000 [1 per cell]